Simulated X-ray powder pattern of Ca2Gd2MnNiO8 for Cu Ka, from the PBE+U geometry in the Materials Project.
Lines closer than 0.1° are merged.

Cell and atoms:
abc: 6.439 6.439 5.592
angles: 90.44 90.44 48.87
Atoms (fractional coordinates):
Ca 0.000 0.000 0.000
Ca 0.210 0.210 0.512
Gd 0.493 0.493 0.459
Gd 0.716 0.716 0.967
Mn 0.856 0.856 0.484
Ni 0.355 0.355 0.983
O 0.019 0.019 0.425
O 0.080 0.587 0.244
O 0.124 0.629 0.723
O 0.183 0.183 0.921
O 0.535 0.535 0.061
O 0.587 0.080 0.244
O 0.629 0.124 0.723
O 0.683 0.683 0.554

Most intense lines, 10 to 80 degrees two-theta, in order of rising 2θ:
d/Å  2theta  I/Imax
4.850  18.29  69
4.064  21.87  43
4.029  22.06  42
2.796  32.01  73
2.753  32.52  100
2.737  32.72  95
2.664  33.65  73
1.929  47.12  76

***

Simulated X-ray powder pattern of Mn2V2O7 for Cu Ka, from the PBE+U geometry in the Materials Project.
Lines closer than 0.1° are merged.

Cell and atoms:
abc: 5.556 5.556 5.101
angles: 97.09 97.09 107.91
Atoms (fractional coordinates):
Mn 0.187 0.813 0.000
Mn 0.813 0.187 0.000
V 0.255 0.255 0.604
V 0.745 0.745 0.396
O 0.080 0.080 0.283
O 0.108 0.432 0.793
O 0.432 0.108 0.793
O 0.500 0.500 0.500
O 0.568 0.892 0.207
O 0.892 0.568 0.207
O 0.920 0.920 0.717

Most intense lines, 10 to 80 degrees two-theta, in order of rising 2θ:
d/Å  2theta  I/Imax
5.209  17.02  13
3.335  26.73  100
2.992  29.87  28
2.605  34.43  12
2.071  43.71  15
1.978  45.87  8
1.759  51.98  19
1.555  59.43  9

***

Simulated X-ray powder pattern of MgVCl2O for Cu Ka, from the PBE+U geometry in the Materials Project.
Lines closer than 0.1° are merged.

Cell and atoms:
abc: 3.699 4.016 9.048
angles: 102.62 101.27 90.01
Atoms (fractional coordinates):
Mg 0.000 0.000 0.000
V 0.268 0.252 0.486
Cl 0.073 0.571 0.145
Cl 0.419 0.916 0.831
O 0.754 0.224 0.458

Most intense lines, 10 to 80 degrees two-theta, in order of rising 2θ:
d/Å  2theta  I/Imax
4.325  20.53  21
3.912  22.73  16
3.617  24.61  36
3.296  27.06  100
2.884  31.01  23
2.310  38.99  14
2.296  39.24  15
2.008  45.16  15